No. 1
The following is a theoretical powder diffractogram of LaHo5Tm7. It was derived from a cell relaxed with GGA-PBE, using Cu Ka.
Neutral-atom scattering factors, no anomalous dispersion.

Main lines, in order of falling intensity (2θ from 10° to 90°):
| two_theta | I (rel.) |
| --- | --- |
| 31.14 | 100 |
| 35.23 | 82 |
| 31.91 | 78 |
| 31.47 | 56 |
| 58.10 | 31 |
| 36.16 | 31 |
| 27.75 | 29 |
| 57.33 | 27 |
| 26.87 | 25 |
| 66.70 | 23 |

```
LaHo5Tm7
1.0
-3.319 5.511 5.742
3.319 -5.511 5.742
3.319 5.511 -5.742
La Ho Tm
1 5 7
direct
0.000 0.000 0.000
0.434 0.438 0.466
0.434 0.968 0.996
0.701 0.201 0.500
0.973 0.438 0.004
0.973 0.968 0.534
0.122 0.453 0.670
0.207 0.707 0.500
0.284 0.952 0.332
0.392 0.392 0.000
0.620 0.952 0.668
0.698 0.698 0.000
0.783 0.453 0.330
```



No. 2
The following is a theoretical powder diffractogram of La2Ho2Tm5. It was derived from a cell relaxed with GGA-PBE, using Cu Ka.
Neutral-atom scattering factors, no anomalous dispersion.

Main lines, in order of falling intensity (2θ from 10° to 90°):
| two_theta | I (rel.) |
| --- | --- |
| 36.44 | 100 |
| 34.88 | 90 |
| 29.89 | 74 |
| 30.13 | 69 |
| 32.71 | 66 |
| 33.55 | 55 |
| 27.99 | 41 |
| 42.67 | 41 |
| 28.61 | 39 |
| 25.56 | 38 |

```
La2Ho2Tm5
1.0
10.798 -1.735 0.000
10.798 1.735 0.000
-1.513 0.000 8.093
La Ho Tm
2 2 5
direct
0.180 0.180 0.141
0.820 0.820 0.859
0.454 0.454 0.644
0.546 0.546 0.356
0.000 0.000 0.000
0.095 0.095 0.729
0.309 0.309 0.465
0.691 0.691 0.535
0.905 0.905 0.271
```



No. 3
The following is a theoretical powder diffractogram of La3Ho5Tm. It was derived from a cell relaxed with GGA-PBE, using Cu Ka.
Neutral-atom scattering factors, no anomalous dispersion.

Main lines, in order of falling intensity (2θ from 10° to 90°):
| two_theta | I (rel.) |
| --- | --- |
| 28.63 | 100 |
| 29.47 | 90 |
| 35.33 | 89 |
| 28.39 | 85 |
| 21.50 | 61 |
| 33.68 | 56 |
| 31.42 | 43 |
| 37.89 | 41 |
| 29.08 | 38 |
| 37.13 | 37 |

```
La3Ho5Tm
1.0
6.137 -4.133 0.000
6.137 4.133 0.000
-4.153 0.000 12.576
La Ho Tm
6 10 2
direct
0.000 0.000 0.000
0.000 0.000 0.500
0.265 0.265 0.511
0.342 0.342 0.769
0.658 0.658 0.231
0.735 0.735 0.489
0.109 0.707 0.213
0.264 0.264 0.020
0.293 0.891 0.787
0.321 0.679 0.000
0.451 0.451 0.378
0.549 0.549 0.622
0.679 0.321 0.000
0.707 0.109 0.213
0.736 0.736 0.980
0.891 0.293 0.787
0.170 0.170 0.242
0.830 0.830 0.758
```



No. 4
The following is a theoretical powder diffractogram of LaHo2Tm9. It was derived from a cell relaxed with GGA-PBE, using Cu Ka.
Neutral-atom scattering factors, no anomalous dispersion.

Main lines, in order of falling intensity (2θ from 10° to 90°):
| two_theta | I (rel.) |
| --- | --- |
| 32.22 | 100 |
| 31.64 | 55 |
| 62.82 | 30 |
| 35.62 | 25 |
| 30.21 | 25 |
| 57.08 | 18 |
| 45.78 | 18 |
| 57.44 | 16 |
| 38.07 | 15 |
| 81.44 | 12 |

```
LaHo2Tm9
1.0
11.114 0.000 0.000
-5.557 9.625 0.000
0.000 0.000 3.495
La Ho Tm
1 2 9
direct
0.000 0.000 0.000
0.333 0.667 0.000
0.667 0.333 0.000
0.000 0.500 0.000
0.180 0.359 0.500
0.180 0.820 0.500
0.359 0.180 0.500
0.500 0.000 0.000
0.500 0.500 0.000
0.641 0.820 0.500
0.820 0.180 0.500
0.820 0.641 0.500
```